This entry pairs a crystal structure of Li8Co5O10 with its computed X-ray powder pattern. Radiation: Cu Kα (λ = 1.5418 Å). Structure: a crystal structure in the Materials Project, relaxed with PBE+U.
Kinematic intensities with the Lorentz-polarization factor, no thermal factor.

Structural model:
```
data_Li8Co5O10
_chemical_formula_sum 'Li16 Co10 O20'
_space_group_name_H-M_alt 'P -1'
_space_group_IT_number 2
_cell_length_a 6.642
_cell_length_b 8.062
_cell_length_c 10.103
_cell_angle_alpha 96.85
_cell_angle_beta 103.25
_cell_angle_gamma 100.12
loop_
_space_group_symop_operation_xyz
'x,y,z'
'-x,-y,-z'
loop_
_atom_site_label
_atom_site_fract_x
_atom_site_fract_y
_atom_site_fract_z
_atom_site_occupancy
Li1 0.012 0.159 0.476 1
Li2 0.036 0.669 0.025 1
Li3 0.149 0.950 0.970 1
Li4 0.173 0.467 0.527 1
Li5 0.329 0.539 0.968 1
Li6 0.353 0.049 0.530 1
Li7 0.468 0.332 0.471 1
Li8 0.484 0.842 0.024 1
Co1 0.050 0.403 0.249 1
Co2 0.156 0.193 0.755 1
Co3 0.248 0.000 0.250 1
Co4 0.341 0.806 0.745 1
Co5 0.449 0.598 0.250 1
O1 0.006 0.888 0.115 1
O2 0.093 0.664 0.609 1
O3 0.093 0.961 0.381 1
O4 0.193 0.510 0.119 1
O5 0.209 0.729 0.893 1
O6 0.307 0.279 0.614 1
O7 0.331 0.501 0.379 1
O8 0.404 0.041 0.121 1
O9 0.414 0.340 0.883 1
O10 0.490 0.110 0.384 1
```

Top 10 peaks for 15 to 90 degrees two-theta, in order of rising 2θ:
18.30°, rel. 83, (0 0 2)
25.75°, rel. 100, (1 -2 1)
25.89°, rel. 100, (-1 2 1)
32.74°, rel. 23, (2 1 -2)
37.10°, rel. 16, (-1 2 3)
42.21°, rel. 31, (2 1 2)
42.32°, rel. 31, (2 1 -4)
49.36°, rel. 20, (2 -4 0)
54.75°, rel. 14, (1 3 -5)
54.92°, rel. 14, (1 3 3)